[1]
Theoretical powder XRD pattern
Compound: Sm4Zn
Radiation: Cu Kα (weighted mean of Kα1 and Kα2)
Structure: a GGA-PBE-relaxed structure
Lines closer than 0.1° are merged.

Largest 8 diffraction maxima, low angle first, 10 to 90 degrees two-theta:
d/Å, 2θ/deg, I (rel.)
2.964, 30.15, 37
2.896, 30.88, 100
2.851, 31.37, 79
2.783, 32.17, 33
1.698, 54.00, 21
1.689, 54.32, 17
1.537, 60.22, 25
1.468, 63.36, 18

Cell and atoms:
Cell lengths 8.8607, 8.8607, 8.8607 Å; angles 135.88, 60.40, 140.91 degrees
Atoms (fractional coordinates):
Sm1 0.0848 0.6557 0.7405
Sm2 0.1850 0.1453 0.3303
Sm3 0.3150 0.6453 0.9603
Sm4 0.4152 0.1557 0.5709
Sm5 0.5848 0.8443 0.4291
Sm6 0.6850 0.3547 0.0397
Sm7 0.8150 0.8547 0.6697
Sm8 0.9152 0.3443 0.2595
Zn1 0.2500 0.2500 0.0000
Zn2 0.7500 0.7500 0.0000

---

[2]
Theoretical powder XRD pattern
Compound: Tm5Si2Pb
Radiation: Cu Kα (weighted mean of Kα1 and Kα2)
Structure: a GGA-PBE-relaxed structure
Lines closer than 0.1° are merged.

Largest 8 diffraction maxima, low angle first, 10 to 90 degrees two-theta:
d/Å, 2θ/deg, I (rel.)
3.359, 26.53, 57
2.840, 31.50, 69
2.732, 32.79, 100
2.522, 35.59, 57
2.455, 36.60, 91
1.676, 54.79, 30
1.603, 57.51, 36
1.371, 68.40, 25

Cell and atoms:
Cell lengths 8.6131, 8.6131, 8.6131 Å; angles 126.41, 126.41, 79.21 degrees
Atoms (fractional coordinates):
Tm1 0.0000 0.0000 0.0000
Tm2 0.0155 0.5155 0.8098
Tm3 0.2056 0.0155 0.5000
Tm4 0.2944 0.7944 0.8098
Tm5 0.4845 0.2944 0.5000
Tm6 0.5000 0.5000 0.0000
Tm7 0.5155 0.7056 0.5000
Tm8 0.7056 0.2056 0.1902
Tm9 0.7944 0.9845 0.5000
Tm10 0.9845 0.4845 0.1902
Si1 0.1463 0.3537 0.5000
Si2 0.3537 0.8537 0.2075
Si3 0.6463 0.1463 0.7925
Si4 0.8537 0.6463 0.5000
Pb1 0.2500 0.2500 0.0000
Pb2 0.7500 0.7500 0.0000

---

[3]
Theoretical powder XRD pattern
Compound: Dy7Tm5
Radiation: Cu Kα (weighted mean of Kα1 and Kα2)
Structure: a GGA-PBE-relaxed structure
Lines closer than 0.1° are merged.

Largest 8 diffraction maxima, low angle first, 10 to 90 degrees two-theta:
d/Å, 2θ/deg, I (rel.)
2.949, 30.30, 42
2.847, 31.43, 34
2.691, 33.30, 100
2.379, 37.81, 23
1.763, 51.86, 26
1.612, 57.15, 22
1.499, 61.91, 30
1.475, 63.04, 16

Cell and atoms:
Cell lengths 9.3270, 9.3270, 12.9213 Å; angles 117.65, 117.65, 21.80 degrees
Atoms (fractional coordinates):
Dy1 0.0000 0.0000 0.0000
Dy2 0.1391 0.1391 0.7505
Dy3 0.1671 0.1671 0.5013
Dy4 0.4720 0.4720 0.7502
Dy5 0.5280 0.5280 0.2498
Dy6 0.8329 0.8329 0.4987
Dy7 0.8609 0.8609 0.2495
Tm1 0.1944 0.1944 0.2492
Tm2 0.3329 0.3329 0.9994
Tm3 0.5000 0.5000 0.5000
Tm4 0.6671 0.6671 0.0006
Tm5 0.8056 0.8056 0.7508

---

[4]
Theoretical powder XRD pattern
Compound: CuAg3B
Radiation: Cu Kα (weighted mean of Kα1 and Kα2)
Structure: a GGA-PBE-relaxed structure
Lines closer than 0.1° are merged.

Largest 8 diffraction maxima, low angle first, 10 to 90 degrees two-theta:
d/Å, 2θ/deg, I (rel.)
4.313, 20.59, 6
3.050, 29.28, 2
2.490, 36.07, 100
2.157, 41.89, 52
1.929, 47.11, 2
1.525, 60.73, 33
1.301, 72.71, 35
1.245, 76.50, 11

Cell and atoms:
Cell lengths 4.3135, 4.3135, 4.3135 Å; angles 90.00, 90.00, 90.00 degrees
Atoms (fractional coordinates):
Cu1 0.0000 0.0000 0.0000
Ag1 0.0000 0.5000 0.5000
Ag2 0.5000 0.0000 0.5000
Ag3 0.5000 0.5000 0.0000
B1 0.5000 0.5000 0.5000

---

[5]
Theoretical powder XRD pattern
Compound: CoIrPt4
Radiation: Cu Kα (weighted mean of Kα1 and Kα2)
Structure: a GGA-PBE-relaxed structure
Lines closer than 0.1° are merged.

Largest 8 diffraction maxima, low angle first, 10 to 90 degrees two-theta:
d/Å, 2θ/deg, I (rel.)
7.595, 11.65, 13
2.456, 36.59, 20
2.212, 40.79, 100
2.197, 41.08, 80
2.143, 42.18, 21
1.976, 45.93, 25
1.932, 47.04, 19
1.155, 83.77, 21

Cell and atoms:
Cell lengths 8.8485, 2.7145, 7.5953 Å; angles 90.00, 90.00, 90.00 degrees
Atoms (fractional coordinates):
Co1 0.2500 0.0000 0.0412
Co2 0.7500 0.0000 0.9588
Ir1 0.2500 0.0000 0.6981
Ir2 0.7500 0.0000 0.3019
Pt1 0.0000 0.0000 0.5000
Pt2 0.0130 0.5000 0.8310
Pt3 0.2500 0.5000 0.3552
Pt4 0.4870 0.5000 0.8310
Pt5 0.5000 0.0000 0.5000
Pt6 0.5130 0.5000 0.1690
Pt7 0.7500 0.5000 0.6448
Pt8 0.9870 0.5000 0.1690

---

[6]
Theoretical powder XRD pattern
Compound: Pm10Nd4Th
Radiation: Cu Kα (weighted mean of Kα1 and Kα2)
Structure: a GGA-PBE-relaxed structure
Lines closer than 0.1° are merged.

Largest 8 diffraction maxima, low angle first, 10 to 90 degrees two-theta:
d/Å, 2θ/deg, I (rel.)
7.542, 11.73, 34
4.135, 21.49, 15
3.127, 28.55, 54
2.919, 30.62, 100
2.756, 32.49, 47
2.512, 35.74, 20
2.211, 40.81, 21
1.651, 55.68, 19

Cell and atoms:
Cell lengths 9.1040, 9.1040, 9.1040 Å; angles 114.22, 114.22, 100.34 degrees
Atoms (fractional coordinates):
Pm1 0.0484 0.3942 0.1041
Pm2 0.0557 0.9516 0.3458
Pm3 0.2500 0.7500 0.5000
Pm4 0.2901 0.9443 0.8959
Pm5 0.3942 0.2901 0.3458
Pm6 0.6058 0.7099 0.6542
Pm7 0.7099 0.0557 0.1041
Pm8 0.7500 0.2500 0.5000
Pm9 0.9443 0.0484 0.6542
Pm10 0.9516 0.6058 0.8959
Nd1 0.1889 0.4340 0.6228
Nd2 0.4340 0.8111 0.2451
Nd3 0.5660 0.1889 0.7549
Nd4 0.8111 0.5660 0.3772
Th1 0.0000 0.0000 0.0000